1.
Computed XRD peak list of AgOs2PbO8 for copper Kα, from a DFT-relaxed cell (PBE, Alexandria).

Principal peaks in the range 2θ from 10° to 80°, most intense first:
index  Position (°2θ)  I_rel
1 0 1  20.95  100.0
1 1 0  29.60  91.4
1 0 2  29.98  81.4
0 2 2  42.63  41.4
2 1 2  52.76  34.9
0 0 1  12.20  23.4

Atomic structure:
Cell: 6.0356 6.0356 7.2565 Å, 90.00 90.00 120.00°
Space group P-3m1 (No. 164)
Inequivalent atoms, fractional coordinates:
Ag 0.0000 0.0000 0.0000 [1 per cell]
Os 0.3333 0.6667 0.2948 [2 per cell]
Pb 0.0000 0.0000 0.5000 [1 per cell]
O 0.1668 0.3336 0.2345 [6 per cell]
O 0.3333 0.6667 0.5397 [2 per cell]

=====

2.
Computed XRD peak list of Rb2AgOsO6 for copper Kα, from a DFT-relaxed cell (PBE, Alexandria).

Principal peaks in the range 2θ from 10° to 80°, most intense first:
index  Position (°2θ)  I_rel
1 0 0  16.34  100.0
1 1 0  28.49  83.7
0 1 2  35.15  58.3
2 0 2  45.85  40.0
1 2 2  54.87  38.7
0 1 1  22.46  26.7

Atomic structure:
Cell: 6.2658 6.2658 5.7871 Å, 90.00 90.00 120.00°
Space group P-3m1 (No. 164)
Inequivalent atoms, fractional coordinates:
Rb 0.3333 0.6667 0.1897 [2 per cell]
Ag 0.0000 0.0000 0.5000 [1 per cell]
Os 0.0000 0.0000 0.0000 [1 per cell]
O 0.1406 0.2812 0.8092 [6 per cell]

=====

3.
Computed XRD peak list of SrAg2Os2O7 for copper Kα, from a DFT-relaxed cell (PBE, Alexandria).

Principal peaks in the range 2θ from 10° to 80°, most intense first:
index  Position (°2θ)  I_rel
0 1 5  30.32  100.0
1 1 2  33.73  87.4
0 0 6  23.62  57.8
1 0 1  23.48  51.5
1 0 7  36.34  47.0
1 1 4  36.51  39.0

Atomic structure:
Cell: 3.8438 3.8889 22.5986 Å, 90.00 90.00 90.00°
Space group Immm (No. 71)
Inequivalent atoms, fractional coordinates:
Sr 0.0000 0.0000 0.0000 [2 per cell]
Ag 0.0000 0.5000 0.2721 [4 per cell]
Os 0.0000 0.0000 0.4077 [4 per cell]
O 0.0000 0.0000 0.3239 [4 per cell]
O 0.0000 0.0000 0.5000 [2 per cell]
O 0.0000 0.5000 0.0871 [4 per cell]
O 0.0000 0.5000 0.4138 [4 per cell]

=====

4.
Computed XRD peak list of Tl3AgOs2O8 for copper Kα, from a DFT-relaxed cell (PBE, Alexandria).

Principal peaks in the range 2θ from 10° to 80°, most intense first:
index  Position (°2θ)  I_rel
1 1 0  29.11  100.0
0 1 2  27.87  93.1
2 0 2  40.74  42.1
1 2 2  50.85  36.2
3 0 0  51.61  20.7
2 2 0  60.33  18.7

Atomic structure:
Cell: 6.1353 6.1353 8.0227 Å, 90.00 90.00 120.00°
Space group P-3m1 (No. 164)
Inequivalent atoms, fractional coordinates:
Tl 0.0000 0.0000 0.0000 [1 per cell]
Tl 0.3333 0.6667 0.6541 [2 per cell]
Ag 0.0000 0.0000 0.5000 [1 per cell]
Os 0.3333 0.6667 0.2024 [2 per cell]
O 0.1744 0.3487 0.2892 [6 per cell]
O 0.3333 0.6667 0.9792 [2 per cell]

=====

5.
Computed XRD peak list of YAgOsO6 for copper Kα, from a DFT-relaxed cell (PBE, Alexandria).

Principal peaks in the range 2θ from 10° to 80°, most intense first:
index  Position (°2θ)  I_rel
1 0 1  26.34  100.0
1 1 0  32.26  49.5
1 1 2  50.50  42.2
2 0 1  42.11  27.0
2 1 1  54.02  26.8
1 0 0  18.46  18.4

Atomic structure:
Cell: 5.5506 5.5506 4.7626 Å, 90.00 90.00 120.00°
Space group P312 (No. 149)
Inequivalent atoms, fractional coordinates:
Y 0.0000 0.0000 0.0000 [1 per cell]
Ag 0.3333 0.6667 0.5000 [1 per cell]
Os 0.6667 0.3333 0.0000 [1 per cell]
O 0.3814 0.0592 0.7743 [6 per cell]

=====

6.
Computed XRD peak list of Ag3P3O10 for copper Kα, from a DFT-relaxed cell (PBE, Alexandria).

Principal peaks in the range 2θ from 10° to 80°, most intense first:
index  Position (°2θ)  I_rel
3 1 -1  23.35  100.0
1 1 0  11.45  77.8
1 1 2  30.36  42.2
4 0 -1  29.02  41.4
1 3 -2  34.01  40.0
3 3 -1  33.41  33.8

Atomic structure:
Cell: 12.3137 10.6820 7.8858 Å, 90.00 114.62 90.00°
Space group C2/m (No. 12)
Inequivalent atoms, fractional coordinates:
Ag 0.0000 0.1296 0.0000 [4 per cell]
Ag 0.1236 0.1522 0.4893 [8 per cell]
P 0.0780 0.3607 0.7728 [8 per cell]
P 0.2470 0.5000 0.0832 [4 per cell]
O 0.0260 0.2803 0.2378 [8 per cell]
O 0.0272 0.5000 0.7049 [4 per cell]
O 0.0791 0.0000 0.3073 [4 per cell]
O 0.1528 0.3169 0.6749 [8 per cell]
O 0.1568 0.0000 0.9845 [4 per cell]
O 0.1587 0.3819 0.9935 [8 per cell]
O 0.2254 0.0000 0.7107 [4 per cell]

=====

7.
Computed XRD peak list of Ag3P2O8 for copper Kα, from a DFT-relaxed cell (PBE, Alexandria).

Principal peaks in the range 2θ from 10° to 80°, most intense first:
index  Position (°2θ)  I_rel
1 1 0  22.45  100.0
2 -1 3  33.04  79.3
2 1 1  35.55  42.1
1 0 1  15.16  37.1
0 0 3  23.92  34.1
3 -2 2  38.28  33.1

Atomic structure:
Cell: 7.9203 7.9203 11.1598 Å, 90.00 90.00 120.00°
Space group R3 (No. 146, hexagonal axes)
Inequivalent atoms, fractional coordinates:
Ag 0.0653 0.6722 0.0000 [9 per cell]
P 0.0000 0.0000 0.1018 [3 per cell]
P 0.0000 0.0000 0.5593 [3 per cell]
O 0.0000 0.0000 0.4115 [3 per cell]
O 0.0000 0.0000 0.9668 [3 per cell]
O 0.0334 0.8326 0.1511 [9 per cell]
O 0.0976 0.2149 0.5989 [9 per cell]

=====

8.
Computed XRD peak list of AgPO for copper Kα, from a DFT-relaxed cell (PBE, Alexandria).

Principal peaks in the range 2θ from 10° to 80°, most intense first:
index  Position (°2θ)  I_rel
1 0 0  22.57  100.0
0 1 -2  32.68  57.2
-1 1 1  32.13  55.1
0 1 1  30.89  50.3
1 1 0  34.98  44.2
1 0 -1  25.54  41.5

Atomic structure:
Cell: 4.1680 4.9341 5.6601 Å, 109.26 94.92 105.62°
Space group P1 (No. 1)
Inequivalent atoms, fractional coordinates:
Ag 0.0000 0.0000 0.0000 [1 per cell]
Ag 0.1087 0.7838 0.4146 [1 per cell]
P 0.1167 0.3316 0.5100 [1 per cell]
P 0.5947 0.5022 0.8221 [1 per cell]
O 0.4658 0.3900 0.0313 [1 per cell]
O 0.7983 0.2638 0.6713 [1 per cell]

=====

9.
Computed XRD peak list of AgPO4 for copper Kα, from a DFT-relaxed cell (PBE, Alexandria).

Principal peaks in the range 2θ from 10° to 80°, most intense first:
index  Position (°2θ)  I_rel
0 0 2  27.86  100.0
0 2 1  23.28  96.5
1 1 0  16.69  66.3
0 2 0  18.64  60.2
1 3 0  31.47  50.4
2 2 0  33.73  38.2

Atomic structure:
Cell: 6.4022 9.5197 6.4070 Å, 90.00 90.00 90.00°
Space group Cmcm (No. 63)
Inequivalent atoms, fractional coordinates:
Ag 0.0000 0.1651 0.2500 [4 per cell]
P 0.0000 0.2555 0.7500 [4 per cell]
O 0.0000 0.1486 0.5672 [8 per cell]
O 0.1842 0.3613 0.7500 [8 per cell]

=====

10.
Computed XRD peak list of Ag2P2PbO7 for copper Kα, from a DFT-relaxed cell (PBE, Alexandria).

Principal peaks in the range 2θ from 10° to 80°, most intense first:
index  Position (°2θ)  I_rel
1 2 1  28.45  100.0
1 0 3  30.06  59.5
0 2 -2  31.59  58.2
1 0 -2  27.26  57.5
1 0 0  17.29  56.5
0 0 2  18.21  49.8

Atomic structure:
Cell: 5.2659 7.2473 9.8913 Å, 86.36 80.05 80.84°
Space group P-1 (No. 2)
Inequivalent atoms, fractional coordinates:
Ag 0.1580 0.3801 0.0820 [2 per cell]
Ag 0.1903 0.8122 0.0766 [2 per cell]
P 0.3482 0.0231 0.7221 [2 per cell]
P 0.4143 0.4307 0.7435 [2 per cell]
Pb 0.0719 0.2485 0.4408 [2 per cell]
O 0.1650 0.5757 0.7440 [2 per cell]
O 0.1878 0.0142 0.8665 [2 per cell]
O 0.2214 0.9658 0.6054 [2 per cell]
O 0.3447 0.5129 0.3459 [2 per cell]
O 0.3553 0.2455 0.6763 [2 per cell]
O 0.3705 0.0725 0.2755 [2 per cell]
O 0.4531 0.3752 0.8943 [2 per cell]

=====

11.
Computed XRD peak list of PuAgP2O8 for copper Kα, from a DFT-relaxed cell (PBE, Alexandria).

Principal peaks in the range 2θ from 10° to 80°, most intense first:
index  Position (°2θ)  I_rel
1 1 0  18.68  100.0
1 1 -2  27.72  49.0
1 1 2  30.43  48.9
0 0 1  11.01  43.6
2 0 0  20.08  31.0
2 0 -2  27.30  30.6

Atomic structure:
Cell: 8.9777 5.6313 8.1603 Å, 90.00 99.91 90.00°
Space group C2/m (No. 12)
Inequivalent atoms, fractional coordinates:
Pu 0.0000 0.0000 0.0000 [2 per cell]
Ag 0.0000 0.0000 0.5000 [2 per cell]
P 0.1820 0.5000 0.2158 [4 per cell]
O 0.0779 0.2761 0.1819 [8 per cell]
O 0.2134 0.0000 0.9205 [4 per cell]
O 0.2317 0.0000 0.6089 [4 per cell]

=====

12.
Computed XRD peak list of Rb2AgPO4 for copper Kα, from a DFT-relaxed cell (PBE, Alexandria).

Principal peaks in the range 2θ from 10° to 80°, most intense first:
index  Position (°2θ)  I_rel
0 2 6  29.91  100.0
2 2 0  35.22  65.4
1 3 5  35.43  52.8
1 1 1  17.91  50.0
0 0 4  16.91  47.8
1 1 5  27.54  46.0

Atomic structure:
Cell: 5.6853 11.5025 20.9721 Å, 90.00 90.00 90.00°
Space group Fddd (No. 70, origin choice 2)
Inequivalent atoms, fractional coordinates:
Rb 0.1250 0.1250 0.3040 [16 per cell]
Ag 0.1250 0.1250 0.1250 [8 per cell]
P 0.1250 0.1250 0.6250 [8 per cell]
O 0.0355 0.2945 0.8329 [32 per cell]